Record 1
Structure and simulated powder diffractogram of Sm2TlSe (a structure optimized by DFT (PBE); Cu Kα, 1.54184 Å).
No peak broadening, texture or thermal motion is included.

Cell and atoms:
```
data_Sm2TlSe
_chemical_formula_sum 'Sm6 Tl3 Se3'
_cell_length_a 4.0626
_cell_length_b 4.0626
_cell_length_c 24.1039
_cell_angle_alpha 90.00
_cell_angle_beta 90.00
_cell_angle_gamma 120.00
_space_group_name_H-M_alt 'R -3 m'
_space_group_IT_number 166
_space_group_name_Hall '-R 3 2"'
loop_
_atom_site_label
_atom_site_fract_x
_atom_site_fract_y
_atom_site_fract_z
_atom_site_occupancy
Sm1 0.0000 0.0000 0.2400 1
Tl1 0.0000 0.0000 0.0000 1
Se1 0.0000 0.0000 0.5000 1
```

Main lines, in order of rising 2θ (5° ≤ 2θ ≤ 70°):
d [Å]	Position (°2θ)	Rel. int.	index
3.481	25.59	8	1 0 1
3.038	29.40	100	1 0 4
2.842	31.48	12	0 1 5
2.288	39.37	41	0 1 8
2.031	44.61	33	1 1 0
2.009	45.14	8	0 0 12
1.689	54.33	18	0 2 4
1.618	56.89	8	1 1 9
1.519	60.99	12	2 0 8
1.428	65.33	16	1 1 12

Record 2
Structure and simulated powder diffractogram of Zn2PbAu2 (a structure optimized by DFT (PBE); Cu Kα, 1.54184 Å).
No peak broadening, texture or thermal motion is included.

Cell and atoms:
```
data_Zn2PbAu2
_chemical_formula_sum 'Zn4 Pb2 Au4'
_cell_length_a 7.9915
_cell_length_b 7.9915
_cell_length_c 3.0304
_cell_angle_alpha 90.00
_cell_angle_beta 90.00
_cell_angle_gamma 90.00
_space_group_name_H-M_alt 'P 4/m b m'
_space_group_IT_number 127
_space_group_name_Hall '-P 4 2ab'
loop_
_atom_site_label
_atom_site_fract_x
_atom_site_fract_y
_atom_site_fract_z
_atom_site_occupancy
Zn1 0.1609 0.3391 0.0000 1
Pb1 0.0000 0.0000 0.5000 1
Au1 0.1342 0.6342 0.5000 1
```

Main lines, in order of rising 2θ (5° ≤ 2θ ≤ 70°):
d [Å]	Position (°2θ)	Rel. int.	index
3.574	24.91	32	2 1 0
3.030	29.48	33	0 0 1
2.825	31.67	15	2 2 0
2.527	35.52	97	3 1 0
2.415	37.24	17	2 0 1
2.311	38.97	100	2 1 1
1.941	46.81	44	3 1 1
1.788	51.08	28	4 2 0
1.413	66.14	14	4 4 0
1.392	67.25	16	5 1 1

Record 3
Structure and simulated powder diffractogram of CsPaCu2Cl8 (a structure optimized by DFT (PBE); Cu Kα, 1.54184 Å).
No peak broadening, texture or thermal motion is included.

Cell and atoms:
```
data_CsPaCu2Cl8
_chemical_formula_sum 'Cs3 Pa3 Cu6 Cl24'
_cell_length_a 6.2475
_cell_length_b 6.2475
_cell_length_c 35.3116
_cell_angle_alpha 90.00
_cell_angle_beta 90.00
_cell_angle_gamma 120.00
_space_group_name_H-M_alt 'R 3 2'
_space_group_IT_number 155
_space_group_name_Hall 'R 3 2"'
loop_
_atom_site_label
_atom_site_fract_x
_atom_site_fract_y
_atom_site_fract_z
_atom_site_occupancy
Cs1 0.0000 0.0000 0.0000 1
Pa1 0.0000 0.0000 0.5000 1
Cu1 0.0000 0.0000 0.2434 1
Cl1 0.0000 0.0000 0.3050 1
Cl2 0.0011 0.3200 0.4525 1
```

Main lines, in order of rising 2θ (5° ≤ 2θ ≤ 70°):
d [Å]	Position (°2θ)	Rel. int.	index
11.771	7.51	35	0 0 3
5.173	17.14	13	0 1 2
4.613	19.24	100	1 0 4
3.420	26.05	31	0 1 8
3.124	28.58	36	1 1 0
2.759	32.45	20	1 1 6
2.587	34.68	22	0 2 4
2.142	42.19	31	1 1 12
1.992	45.53	21	2 1 4
1.804	50.61	17	3 0 0

Record 4
Structure and simulated powder diffractogram of ErTh2Zn6 (a structure optimized by DFT (PBE); Cu Kα, 1.54184 Å).
No peak broadening, texture or thermal motion is included.

Cell and atoms:
```
data_ErTh2Zn6
_chemical_formula_sum 'Er1 Th2 Zn6'
_cell_length_a 7.8789
_cell_length_b 7.8789
_cell_length_c 3.5264
_cell_angle_alpha 90.00
_cell_angle_beta 90.00
_cell_angle_gamma 120.00
_space_group_name_H-M_alt 'P 6/m m m'
_space_group_IT_number 191
_space_group_name_Hall '-P 6 2'
loop_
_atom_site_label
_atom_site_fract_x
_atom_site_fract_y
_atom_site_fract_z
_atom_site_occupancy
Er1 0.0000 0.0000 0.0000 1
Th1 0.3333 0.6667 0.0000 1
Zn1 0.0000 0.3281 0.5000 1
```

Main lines, in order of rising 2θ (5° ≤ 2θ ≤ 70°):
d [Å]	Position (°2θ)	Rel. int.	index
3.939	22.57	32	1 1 0
2.627	34.12	100	1 1 1
2.274	39.63	53	3 0 0
1.970	46.08	5	2 2 0
1.763	51.85	8	0 0 2
1.720	53.27	28	2 2 1
1.609	57.24	6	1 1 2
1.489	62.36	4	4 1 0
1.394	67.18	22	3 0 2
1.372	68.39	27	4 1 1

Record 5
Structure and simulated powder diffractogram of ErTh2Bi2N2 (a structure optimized by DFT (PBE); Cu Kα, 1.54184 Å).
No peak broadening, texture or thermal motion is included.

Cell and atoms:
```
data_ErTh2Bi2N2
_chemical_formula_sum 'Er2 Th4 Bi4 N4'
_cell_length_a 4.4452
_cell_length_b 4.4452
_cell_length_c 16.3682
_cell_angle_alpha 90.00
_cell_angle_beta 90.00
_cell_angle_gamma 90.00
_space_group_name_H-M_alt 'I 4/m m m'
_space_group_IT_number 139
_space_group_name_Hall '-I 4 2'
loop_
_atom_site_label
_atom_site_fract_x
_atom_site_fract_y
_atom_site_fract_z
_atom_site_occupancy
Er1 0.0000 0.0000 0.0000 1
Th1 0.0000 0.0000 0.4003 1
Bi1 0.0000 0.0000 0.1949 1
N1 0.0000 0.5000 0.0000 1
```

Main lines, in order of rising 2θ (5° ≤ 2θ ≤ 70°):
d [Å]	Position (°2θ)	Rel. int.	index
3.143	28.39	76	1 1 0
2.636	34.01	100	1 0 5
2.493	36.03	2	1 1 4
2.223	40.59	33	2 0 0
1.699	53.96	55	2 1 5
1.637	56.20	6	0 0 10
1.572	58.75	11	2 2 0
1.452	64.15	15	1 1 10
1.406	66.52	15	3 1 0
1.350	69.65	13	3 0 5

Record 6
Structure and simulated powder diffractogram of LuMn5 (a structure optimized by DFT (PBE); Cu Kα, 1.54184 Å).
No peak broadening, texture or thermal motion is included.

Cell and atoms:
```
data_LuMn5
_chemical_formula_sum 'Lu2 Mn10'
_cell_length_a 4.7842
_cell_length_b 4.7842
_cell_length_c 8.2094
_cell_angle_alpha 90.00
_cell_angle_beta 90.00
_cell_angle_gamma 120.00
_space_group_name_H-M_alt 'P 63 m c'
_space_group_IT_number 186
_space_group_name_Hall 'P 6c -2c'
loop_
_atom_site_label
_atom_site_fract_x
_atom_site_fract_y
_atom_site_fract_z
_atom_site_occupancy
Lu1 0.3333 0.6667 0.0000 1
Mn1 0.0000 0.0000 0.4394 1
Mn2 0.1714 0.3428 0.6922 1
Mn3 0.3333 0.6667 0.3657 1
```

Main lines, in order of rising 2θ (5° ≤ 2θ ≤ 70°):
d [Å]	Position (°2θ)	Rel. int.	index
3.699	24.06	60	1 0 1
2.916	30.66	12	1 0 2
2.392	37.60	52	1 1 0
2.283	39.46	100	1 0 3
2.072	43.69	13	2 0 0
2.067	43.80	100	1 1 2
2.052	44.13	13	0 0 4
2.009	45.14	67	2 0 1
1.538	60.15	11	2 1 1
1.359	69.11	34	2 1 3

Record 7
Structure and simulated powder diffractogram of HfAlAs (a structure optimized by DFT (PBE); Cu Kα, 1.54184 Å).
No peak broadening, texture or thermal motion is included.

Cell and atoms:
```
data_HfAlAs
_chemical_formula_sum 'Hf2 Al2 As2'
_cell_length_a 3.8210
_cell_length_b 3.8210
_cell_length_c 7.8023
_cell_angle_alpha 90.00
_cell_angle_beta 90.00
_cell_angle_gamma 90.00
_space_group_name_H-M_alt 'P 4/n m m'
_space_group_IT_number 129
loop_
_space_group_symop_operation_xyz
'x,y,z'
'-x,-y,-z'
'-y+1/2,x,z'
'y+1/2,-x,-z'
'-x+1/2,-y+1/2,z'
'x+1/2,y+1/2,-z'
'y,-x+1/2,z'
'-y,x+1/2,-z'
'x+1/2,-y,-z'
'-x+1/2,y,z'
'-y,-x,-z'
'y,x,z'
'-x,y+1/2,-z'
'x,-y+1/2,z'
'y+1/2,x+1/2,-z'
'-y+1/2,-x+1/2,z'
loop_
_atom_site_label
_atom_site_fract_x
_atom_site_fract_y
_atom_site_fract_z
_atom_site_occupancy
Hf1 0.2500 0.2500 0.2041 1
Al1 0.2500 0.7500 0.5000 1
As1 0.2500 0.2500 0.8397 1
```

Main lines, in order of rising 2θ (5° ≤ 2θ ≤ 70°):
d [Å]	Position (°2θ)	Rel. int.	index
7.802	11.34	47	0 0 1
3.901	22.80	59	0 0 2
3.432	25.97	76	1 0 1
2.702	33.16	100	1 1 0
2.601	34.49	50	0 0 3
2.553	35.15	47	1 1 1
2.221	40.62	97	1 1 2
1.910	47.60	56	2 0 0
1.874	48.59	45	1 1 3
1.351	69.58	42	2 2 0

Record 8
Structure and simulated powder diffractogram of Sc3TaN4 (a structure optimized by DFT (PBE); Cu Kα, 1.54184 Å).
No peak broadening, texture or thermal motion is included.

Cell and atoms:
```
data_Sc3TaN4
_chemical_formula_sum 'Sc6 Ta2 N8'
_cell_length_a 6.3509
_cell_length_b 8.9337
_cell_length_c 3.1535
_cell_angle_alpha 90.00
_cell_angle_beta 90.00
_cell_angle_gamma 90.00
_space_group_name_H-M_alt 'C m m m'
_space_group_IT_number 65
_space_group_name_Hall '-C 2 2'
loop_
_atom_site_label
_atom_site_fract_x
_atom_site_fract_y
_atom_site_fract_z
_atom_site_occupancy
Sc1 0.0000 0.0000 0.0000 1
Sc2 0.2500 0.2500 0.5000 1
Ta1 0.0000 0.5000 0.0000 1
N1 0.0000 0.2561 0.0000 1
N2 0.2428 0.5000 0.5000 1
```

Main lines, in order of rising 2θ (5° ≤ 2θ ≤ 70°):
d [Å]	Position (°2θ)	Rel. int.	index
5.176	17.13	77	1 1 0
4.467	19.88	27	0 2 0
2.694	33.26	45	1 1 1
2.588	34.66	52	2 2 0
2.576	34.82	51	0 2 1
2.236	40.33	100	2 0 1
2.049	44.20	14	1 3 1
1.581	58.38	41	2 4 1
1.352	69.55	14	4 2 1
1.347	69.82	21	2 6 0

Record 9
Structure and simulated powder diffractogram of Ba2TeAuSe5 (a structure optimized by DFT (PBE); Cu Kα, 1.54184 Å).
No peak broadening, texture or thermal motion is included.

Cell and atoms:
```
data_Ba2TeAuSe5
_chemical_formula_sum 'Ba8 Te4 Au4 Se20'
_cell_length_a 4.2655
_cell_length_b 19.4174
_cell_length_c 13.0727
_cell_angle_alpha 90.00
_cell_angle_beta 90.00
_cell_angle_gamma 90.00
_space_group_name_H-M_alt 'C m c 21'
_space_group_IT_number 36
loop_
_space_group_symop_operation_xyz
'x,y,z'
'-x,-y,z+1/2'
'-x,y,z'
'x,-y,z+1/2'
'x+1/2,y+1/2,z'
'-x+1/2,-y+1/2,z+1/2'
'-x+1/2,y+1/2,z'
'x+1/2,-y+1/2,z+1/2'
loop_
_atom_site_label
_atom_site_fract_x
_atom_site_fract_y
_atom_site_fract_z
_atom_site_occupancy
Ba1 0.0000 0.1155 0.0000 1
Ba2 0.0000 0.1228 0.6156 1
Te1 0.0000 0.2098 0.3127 1
Au1 0.0000 0.4730 0.7446 1
Se1 0.0000 0.0440 0.3454 1
Se2 0.0000 0.2857 0.9594 1
Se3 0.0000 0.2925 0.6627 1
Se4 0.0000 0.3470 0.3078 1
Se5 0.0000 0.4960 0.0584 1
```

Main lines, in order of rising 2θ (5° ≤ 2θ ≤ 70°):
d [Å]	Position (°2θ)	Rel. int.	index
3.897	22.82	23	0 4 2
3.562	25.00	21	1 3 0
3.513	25.35	31	1 1 2
3.141	28.41	76	0 6 1
3.011	29.67	100	1 1 3
2.872	31.15	36	1 5 0
2.629	34.10	31	1 5 2
2.133	42.38	37	2 0 0
1.932	47.04	26	1 1 6
1.765	51.81	28	2 6 1

Record 10
Structure and simulated powder diffractogram of AcNdYZn (a structure optimized by DFT (PBE); Cu Kα, 1.54184 Å).
No peak broadening, texture or thermal motion is included.

Cell and atoms:
```
data_AcNdYZn
_chemical_formula_sum 'Ac1 Nd1 Y1 Zn1'
_cell_length_a 3.7178
_cell_length_b 3.7178
_cell_length_c 9.0500
_cell_angle_alpha 90.00
_cell_angle_beta 90.00
_cell_angle_gamma 90.00
_space_group_name_H-M_alt 'P 4 m m'
_space_group_IT_number 99
loop_
_space_group_symop_operation_xyz
'x,y,z'
'-y,x,z'
'-x,-y,z'
'y,-x,z'
'-x,y,z'
'y,x,z'
'x,-y,z'
'-y,-x,z'
loop_
_atom_site_label
_atom_site_fract_x
_atom_site_fract_y
_atom_site_fract_z
_atom_site_occupancy
Ac1 0.0000 0.0000 0.0000 1
Nd1 0.5000 0.5000 0.3100 1
Y1 0.5000 0.5000 0.6986 1
Zn1 0.0000 0.0000 0.5166 1
```

Main lines, in order of rising 2θ (5° ≤ 2θ ≤ 70°):
d [Å]	Position (°2θ)	Rel. int.	index
3.439	25.91	40	1 0 1
3.017	29.61	16	0 0 3
2.873	31.13	100	1 0 2
2.629	34.10	49	1 1 0
1.982	45.78	20	1 1 3
1.859	49.00	18	2 0 0
1.715	53.43	11	1 1 4
1.627	56.55	13	1 0 5
1.583	58.30	10	2 0 3
1.561	59.20	32	2 1 2

Record 11
Structure and simulated powder diffractogram of NbHgTe2 (a structure optimized by DFT (PBE); Cu Kα, 1.54184 Å).
No peak broadening, texture or thermal motion is included.

Cell and atoms:
```
data_NbHgTe2
_chemical_formula_sum 'Nb2 Hg2 Te4'
_cell_length_a 6.3525
_cell_length_b 3.6398
_cell_length_c 10.6745
_cell_angle_alpha 90.00
_cell_angle_beta 100.88
_cell_angle_gamma 90.00
_space_group_name_H-M_alt 'P 1 2 1'
_space_group_IT_number 3
loop_
_space_group_symop_operation_xyz
'x,y,z'
'-x,y,-z'
loop_
_atom_site_label
_atom_site_fract_x
_atom_site_fract_y
_atom_site_fract_z
_atom_site_occupancy
Nb1 0.0000 0.0000 0.0000 1
Nb2 0.5000 0.4933 0.0000 1
Hg1 0.2494 0.2490 0.4999 1
Te1 0.1109 0.4986 0.8222 1
Te2 0.3893 0.9953 0.1778 1
```

Main lines, in order of rising 2θ (5° ≤ 2θ ≤ 70°):
d [Å]	Position (°2θ)	Rel. int.	index
5.241	16.92	31	0 0 2
3.494	25.49	71	0 0 3
3.438	25.91	45	0 1 1
2.990	29.89	33	0 1 2
2.935	30.46	52	2 0 -2
2.846	31.43	100	2 0 1
2.817	31.77	78	1 1 -2
2.234	40.38	35	1 1 3
1.793	50.93	30	0 2 1
1.468	63.36	35	2 2 2

Record 12
Structure and simulated powder diffractogram of HoZn3Pt (a structure optimized by DFT (PBE); Cu Kα, 1.54184 Å).
No peak broadening, texture or thermal motion is included.

Cell and atoms:
```
data_HoZn3Pt
_chemical_formula_sum 'Ho2 Zn6 Pt2'
_cell_length_a 3.9254
_cell_length_b 3.9254
_cell_length_c 11.8763
_cell_angle_alpha 90.00
_cell_angle_beta 90.00
_cell_angle_gamma 90.00
_space_group_name_H-M_alt 'I 4 m m'
_space_group_IT_number 107
_space_group_name_Hall 'I 4 -2'
loop_
_atom_site_label
_atom_site_fract_x
_atom_site_fract_y
_atom_site_fract_z
_atom_site_occupancy
Ho1 0.0000 0.0000 0.0000 1
Zn1 0.0000 0.0000 0.3824 1
Zn2 0.0000 0.5000 0.2436 1
Pt1 0.0000 0.0000 0.5944 1
```

Main lines, in order of rising 2θ (5° ≤ 2θ ≤ 70°):
d [Å]	Position (°2θ)	Rel. int.	index
5.938	14.92	30	0 0 2
2.787	32.11	65	1 0 3
2.776	32.25	33	1 1 0
2.515	35.71	100	1 1 2
2.032	44.59	60	1 0 5
2.028	44.69	19	1 1 4
1.963	46.26	50	2 0 0
1.605	57.42	25	2 1 3
1.412	66.20	37	2 1 5
1.388	67.49	16	2 2 0

Record 13
Structure and simulated powder diffractogram of AcNd2SbN4 (a structure optimized by DFT (PBE); Cu Kα, 1.54184 Å).
No peak broadening, texture or thermal motion is included.

Cell and atoms:
```
data_AcNd2SbN4
_chemical_formula_sum 'Ac4 Nd8 Sb4 N16'
_cell_length_a 3.8556
_cell_length_b 12.2448
_cell_length_c 12.3312
_cell_angle_alpha 90.00
_cell_angle_beta 90.00
_cell_angle_gamma 90.00
_space_group_name_H-M_alt 'C m c m'
_space_group_IT_number 63
_space_group_name_Hall '-C 2c 2'
loop_
_atom_site_label
_atom_site_fract_x
_atom_site_fract_y
_atom_site_fract_z
_atom_site_occupancy
Ac1 0.0000 0.1029 0.2500 1
Nd1 0.0000 0.3716 0.0390 1
Sb1 0.0000 0.1591 0.7500 1
N1 0.0000 0.0000 0.0000 1
N2 0.0000 0.2778 0.6295 1
N3 0.0000 0.4209 0.2500 1
```

Main lines, in order of rising 2θ (5° ≤ 2θ ≤ 70°):
d [Å]	Position (°2θ)	Rel. int.	index
3.413	26.11	30	0 2 3
3.158	28.26	100	1 1 2
3.083	28.96	39	0 0 4
3.061	29.17	42	0 4 0
2.733	32.77	32	1 3 1
2.552	35.17	61	1 3 2
2.172	41.58	23	0 4 4
1.960	46.32	21	1 5 2
1.928	47.14	19	2 0 0
1.852	49.21	19	1 3 5

Record 14
Structure and simulated powder diffractogram of Sc5Ga5Rh2 (a structure optimized by DFT (PBE); Cu Kα, 1.54184 Å).
No peak broadening, texture or thermal motion is included.

Cell and atoms:
```
data_Sc5Ga5Rh2
_chemical_formula_sum 'Sc10 Ga10 Rh4'
_cell_length_a 4.4080
_cell_length_b 8.8098
_cell_length_c 11.3163
_cell_angle_alpha 90.00
_cell_angle_beta 90.00
_cell_angle_gamma 90.00
_space_group_name_H-M_alt 'I m m m'
_space_group_IT_number 71
_space_group_name_Hall '-I 2 2'
loop_
_atom_site_label
_atom_site_fract_x
_atom_site_fract_y
_atom_site_fract_z
_atom_site_occupancy
Sc1 0.0000 0.0000 0.0000 1
Sc2 0.0000 0.3121 0.1482 1
Ga1 0.0000 0.0000 0.2615 1
Ga2 0.0000 0.0000 0.5000 1
Ga3 0.0000 0.2885 0.5000 1
Rh1 0.0000 0.5000 0.3462 1
```

Main lines, in order of rising 2θ (5° ≤ 2θ ≤ 70°):
d [Å]	Position (°2θ)	Rel. int.	index
4.405	20.16	28	0 2 0
4.107	21.64	38	1 0 1
3.474	25.64	31	0 2 2
2.444	36.78	25	1 3 0
2.402	37.44	100	1 2 3
2.317	38.86	44	0 3 3
2.298	39.20	81	1 1 4
2.203	40.96	89	2 0 0
1.849	49.27	31	1 3 4
1.597	57.73	27	2 3 3